The following is a calculated XRD peak list of Sr2YTlFe2O7. It was derived from a PBE+U-relaxed structure, using copper Kα.
No peak broadening, texture or thermal motion is included.

Cell and atoms:
a b c (Å): 3.871 3.871 13.037
angles (deg): 90.00 90.00 90.00
Space group P4/mmm (No. 123)
Unique sites:
Sr 0.000 0.000 0.187 (multiplicity 2)
Y 0.000 0.000 0.500 (multiplicity 1)
Tl 0.500 0.500 0.000 (multiplicity 1)
Fe 0.500 0.500 0.351 (multiplicity 2)
O 0.000 0.000 0.000 (multiplicity 1)
O 0.000 0.500 0.391 (multiplicity 4)
O 0.500 0.500 0.206 (multiplicity 2)

The 6 most intense peaks (2θ = 10–90°), in order of rising 2θ:
| d [Å] | Rel. int. |
| --- | --- |
| 3.711 | 14 |
| 2.890 | 100 |
| 2.737 | 51 |
| 1.935 | 27 |
| 1.702 | 23 |
| 1.608 | 35 |